# 1
The following is a simulated powder diffraction line list of Gd10B2Br15. It was derived from a cell relaxed with PBE, using Cu Kα (λ = 1.5418 Å).
Kinematic intensities with the Lorentz-polarization factor, no thermal factor.

Structure:
```
Gd10B2Br15
1.0
9.141 0.000 0.000
-3.530 9.271 0.000
-4.465 -1.938 9.599
Gd B Br
10 2 15
direct
0.025 0.205 0.095
0.085 0.540 0.324
0.175 0.246 0.822
0.222 0.574 0.048
0.300 0.908 0.276
0.700 0.092 0.724
0.778 0.426 0.952
0.825 0.754 0.178
0.915 0.460 0.676
0.975 0.795 0.905
0.033 0.681 0.123
0.967 0.319 0.877
0.092 0.037 0.341
0.139 0.383 0.584
0.211 0.739 0.820
0.269 0.090 0.057
0.336 0.442 0.298
0.384 0.799 0.529
0.444 0.157 0.773
0.500 0.500 0.000
0.556 0.843 0.227
0.616 0.201 0.471
0.664 0.558 0.702
0.731 0.910 0.943
0.789 0.261 0.180
0.861 0.617 0.416
0.908 0.963 0.659
```

Most intense lines, 10° ≤ 2θ ≤ 80°, by intensity:
2θ (°), I/Imax
31.14, 100
30.83, 49
44.36, 48
11.61, 18
44.08, 17
44.47, 17

# 2
The following is a simulated powder diffraction line list of Pr3GdB2Br2. It was derived from a cell relaxed with PBE, using Cu Kα (λ = 1.5418 Å).
Kinematic intensities with the Lorentz-polarization factor, no thermal factor.

Structure:
```
Pr3GdB2Br2
1.0
4.009 0.000 0.000
-2.004 3.472 0.000
0.000 0.000 14.789
Pr Gd B Br
3 1 2 2
direct
0.000 0.000 0.000
0.000 0.000 0.312
0.667 0.333 0.508
0.667 0.333 0.813
0.333 0.667 0.410
0.333 0.667 0.902
0.000 0.000 0.666
0.667 0.333 0.157
```

Most intense lines, 10° ≤ 2θ ≤ 80°, by intensity:
2θ (°), I/Imax
31.52, 100
25.66, 27
45.24, 27
56.18, 19
59.44, 18
74.89, 16

# 3
The following is a simulated powder diffraction line list of Zn2BH2BrO4. It was derived from a cell relaxed with PBE, using Cu Kα (λ = 1.5418 Å).
Kinematic intensities with the Lorentz-polarization factor, no thermal factor.

Structure:
```
Zn2BH2BrO4
1.0
4.977 0.000 0.000
0.000 8.361 0.000
0.000 0.000 12.926
Zn B H Br O
8 4 8 4 16
direct
0.004 0.183 0.067
0.014 0.853 0.954
0.486 0.147 0.454
0.496 0.817 0.567
0.504 0.317 0.933
0.514 0.647 0.046
0.986 0.353 0.546
0.996 0.683 0.433
0.010 0.499 0.967
0.490 0.501 0.467
0.510 0.001 0.033
0.990 0.999 0.533
0.159 0.860 0.286
0.160 0.359 0.215
0.340 0.641 0.715
0.341 0.140 0.786
0.659 0.640 0.714
0.660 0.141 0.785
0.840 0.859 0.285
0.841 0.360 0.214
0.005 0.967 0.785
0.495 0.033 0.285
0.505 0.533 0.215
0.995 0.467 0.715
0.000 0.289 0.207
0.000 0.789 0.293
0.122 0.854 0.528
0.134 0.140 0.524
0.214 0.495 0.458
0.286 0.505 0.958
0.366 0.860 0.024
0.378 0.146 0.028
0.500 0.211 0.793
0.500 0.711 0.707
0.622 0.646 0.472
0.634 0.360 0.476
0.714 0.005 0.542
0.786 0.995 0.042
0.866 0.640 0.976
0.878 0.354 0.972
```

Most intense lines, 10° ≤ 2θ ≤ 80°, by intensity:
2θ (°), I/Imax
24.97, 100
28.73, 81
13.70, 60
21.89, 60
36.09, 55
25.37, 39

# 4
The following is a simulated powder diffraction line list of Ho4BI3Br2. It was derived from a cell relaxed with PBE, using Cu Kα (λ = 1.5418 Å).
Kinematic intensities with the Lorentz-polarization factor, no thermal factor.

Structure:
```
Ho4BI3Br2
1.0
9.281 -1.993 0.000
9.281 1.993 0.000
-1.777 0.000 8.351
Ho B I Br
4 1 3 2
direct
0.001 0.001 0.304
0.363 0.363 0.429
0.637 0.637 0.571
0.999 0.999 0.696
0.500 0.500 0.500
0.174 0.174 0.321
0.500 0.500 0.000
0.826 0.826 0.679
0.159 0.159 0.818
0.841 0.841 0.182
```

Most intense lines, 10° ≤ 2θ ≤ 80°, by intensity:
2θ (°), I/Imax
30.69, 100
10.59, 50
29.52, 44
33.42, 37
42.76, 28
43.45, 25

# 5
The following is a simulated powder diffraction line list of Ho4BI2Br3. It was derived from a cell relaxed with PBE, using Cu Kα (λ = 1.5418 Å).
Kinematic intensities with the Lorentz-polarization factor, no thermal factor.

Structure:
```
Ho4BI2Br3
1.0
9.325 -1.973 0.000
9.325 1.973 0.000
-1.677 0.000 8.037
Ho B I Br
4 1 2 3
direct
0.001 0.001 0.295
0.364 0.364 0.428
0.636 0.636 0.572
0.999 0.999 0.705
0.500 0.500 0.500
0.173 0.173 0.313
0.827 0.827 0.687
0.157 0.157 0.830
0.500 0.500 0.000
0.843 0.843 0.170
```

Most intense lines, 10° ≤ 2θ ≤ 80°, by intensity:
2θ (°), I/Imax
31.45, 100
11.01, 51
29.35, 44
43.30, 29
33.44, 27
43.81, 24

# 6
The following is a simulated powder diffraction line list of Sm2Ho2BIBr4. It was derived from a cell relaxed with PBE, using Cu Kα (λ = 1.5418 Å).
Kinematic intensities with the Lorentz-polarization factor, no thermal factor.

Structure:
```
Sm2Ho2BIBr4
1.0
9.052 -1.992 0.000
9.052 1.992 0.000
-2.004 0.000 8.275
Sm Ho B I Br
2 2 1 1 4
direct
0.145 0.145 0.076
0.855 0.855 0.924
0.500 0.500 0.197
0.500 0.500 0.803
0.000 0.000 0.000
0.000 0.000 0.500
0.332 0.332 0.169
0.337 0.337 0.665
0.663 0.663 0.335
0.668 0.668 0.831
```

Most intense lines, 10° ≤ 2θ ≤ 80°, by intensity:
2θ (°), I/Imax
30.73, 100
30.48, 75
43.83, 61
10.69, 36
10.05, 32
34.03, 25

# 7
The following is a simulated powder diffraction line list of Nd2Ho2BBr5. It was derived from a cell relaxed with PBE, using Cu Kα (λ = 1.5418 Å).
Kinematic intensities with the Lorentz-polarization factor, no thermal factor.

Structure:
```
Nd2Ho2BBr5
1.0
9.082 -1.991 0.000
9.082 1.991 0.000
-1.857 0.000 8.314
Nd Ho B Br
2 2 1 5
direct
0.001 0.001 0.288
0.999 0.999 0.712
0.359 0.359 0.427
0.641 0.641 0.573
0.500 0.500 0.500
0.169 0.169 0.821
0.175 0.175 0.349
0.500 0.500 0.000
0.825 0.825 0.651
0.831 0.831 0.179
```

Most intense lines, 10° ≤ 2θ ≤ 80°, by intensity:
2θ (°), I/Imax
30.74, 100
30.27, 60
10.64, 57
33.84, 29
43.41, 27
43.94, 27

# 8
The following is a simulated powder diffraction line list of Nd2Sm2BI3Br2. It was derived from a cell relaxed with PBE, using Cu Kα (λ = 1.5418 Å).
Kinematic intensities with the Lorentz-polarization factor, no thermal factor.

Structure:
```
Nd2Sm2BI3Br2
1.0
9.557 -2.062 0.000
9.557 2.062 0.000
-1.954 0.000 8.536
Nd Sm B I Br
2 2 1 3 2
direct
0.141 0.141 0.076
0.859 0.859 0.924
0.500 0.500 0.201
0.500 0.500 0.799
0.000 0.000 0.000
0.000 0.000 0.500
0.329 0.329 0.182
0.671 0.671 0.818
0.342 0.342 0.672
0.658 0.658 0.328
```

Most intense lines, 10° ≤ 2θ ≤ 80°, by intensity:
2θ (°), I/Imax
29.76, 100
28.75, 47
10.36, 33
41.76, 31
32.36, 31
41.94, 28

# 9
The following is a simulated powder diffraction line list of Nd2Sm2B2I2Br3. It was derived from a cell relaxed with PBE, using Cu Kα (λ = 1.5418 Å).
Kinematic intensities with the Lorentz-polarization factor, no thermal factor.

Structure:
```
Nd2Sm2B2I2Br3
1.0
10.398 -2.017 0.000
10.398 2.017 0.000
-1.813 0.000 8.214
Nd Sm B I Br
2 2 2 2 3
direct
0.001 0.001 0.205
0.999 0.999 0.795
0.344 0.344 0.899
0.656 0.656 0.101
0.461 0.461 0.977
0.539 0.539 0.023
0.169 0.169 0.821
0.831 0.831 0.179
0.158 0.158 0.351
0.500 0.500 0.500
0.842 0.842 0.649
```

Most intense lines, 10° ≤ 2θ ≤ 80°, by intensity:
2θ (°), I/Imax
30.71, 100
26.33, 73
41.09, 43
10.77, 37
40.69, 35
52.84, 21

# 10
The following is a simulated powder diffraction line list of Nd2Y2BIBr4. It was derived from a cell relaxed with PBE, using Cu Kα (λ = 1.5418 Å).
Kinematic intensities with the Lorentz-polarization factor, no thermal factor.

Structure:
```
Nd2Y2BIBr4
1.0
9.149 -2.013 0.000
9.149 2.013 0.000
-2.020 0.000 8.339
Nd Y B I Br
2 2 1 1 4
direct
0.146 0.146 0.077
0.854 0.854 0.923
0.500 0.500 0.198
0.500 0.500 0.802
0.000 0.000 0.000
0.000 0.000 0.500
0.332 0.332 0.171
0.337 0.337 0.663
0.663 0.663 0.337
0.668 0.668 0.829
```

Most intense lines, 10° ≤ 2θ ≤ 80°, by intensity:
2θ (°), I/Imax
30.45, 100
30.16, 73
43.38, 61
10.61, 27
27.49, 24
16.19, 19

# 11
The following is a simulated powder diffraction line list of Nd2Y2BI3Br2. It was derived from a cell relaxed with PBE, using Cu Kα (λ = 1.5418 Å).
Kinematic intensities with the Lorentz-polarization factor, no thermal factor.

Structure:
```
Nd2Y2BI3Br2
1.0
9.431 -2.045 0.000
9.431 2.045 0.000
-1.871 0.000 8.706
Nd Y B I Br
2 2 1 3 2
direct
0.001 0.001 0.298
0.999 0.999 0.702
0.363 0.363 0.430
0.637 0.637 0.570
0.500 0.500 0.500
0.176 0.176 0.333
0.500 0.500 0.000
0.824 0.824 0.667
0.162 0.162 0.807
0.838 0.838 0.193
```

Most intense lines, 10° ≤ 2θ ≤ 80°, by intensity:
2θ (°), I/Imax
29.66, 100
29.05, 46
32.70, 33
41.61, 30
42.40, 29
10.16, 28

# 12
The following is a simulated powder diffraction line list of Pr2Sm2BI2Br3. It was derived from a cell relaxed with PBE, using Cu Kα (λ = 1.5418 Å).
Kinematic intensities with the Lorentz-polarization factor, no thermal factor.

Structure:
```
Pr2Sm2BI2Br3
1.0
9.575 -2.053 0.000
9.575 2.053 0.000
-1.740 0.000 8.407
Pr Sm B I Br
2 2 1 2 3
direct
0.001 0.001 0.287
0.999 0.999 0.713
0.362 0.362 0.428
0.638 0.638 0.572
0.500 0.500 0.500
0.175 0.175 0.317
0.825 0.825 0.683
0.160 0.160 0.823
0.500 0.500 0.000
0.840 0.840 0.177
```

Most intense lines, 10° ≤ 2θ ≤ 80°, by intensity:
2θ (°), I/Imax
30.12, 100
10.52, 44
28.56, 44
41.65, 30
42.32, 26
32.33, 21